Entry 1:
Computed XRD peak list of PrAu12 for Cu Kα X-rays, from a crystal structure in Alexandria, relaxed with GGA-PBE.
Intensities are scaled so that the largest is 100.

Principal peaks in the range 10 to 90 degrees two-theta, in order of falling intensity:
- 2θ 41.11, rel. 100.0, hkl 3 3 3
- 2θ 25.90, rel. 91.4, hkl 3 1 1
- 2θ 47.84, rel. 68.7, hkl 6 0 0
- 2θ 69.98, rel. 43.9, hkl 6 6 0
- 2θ 13.44, rel. 43.2, hkl 1 1 1
- 2θ 47.13, rel. 41.3, hkl 5 3 1
- 2θ 84.50, rel. 36.6, hkl 9 3 3
- 2θ 27.08, rel. 34.8, hkl 2 2 2
- 2θ 38.67, rel. 33.4, hkl 4 2 2
- 2θ 22.04, rel. 28.9, hkl 2 2 0

Cell and atoms:
```
data_PrAu12
_chemical_formula_sum 'Pr4 Au48'
_symmetry_space_group_name_H-M 'F m -3 m'
_symmetry_Int_Tables_number 225
_symmetry_space_group_name_Hall '-F 4 2 3'
_cell_length_a 11.4081
_cell_length_b 11.4081
_cell_length_c 11.4081
_cell_angle_alpha 90.00
_cell_angle_beta 90.00
_cell_angle_gamma 90.00
loop_
_atom_site_label
_atom_site_type_symbol
_atom_site_fract_x
_atom_site_fract_y
_atom_site_fract_z
Pr1 Pr 0.0000 0.0000 0.0000
Au1 Au 0.0000 0.1697 0.3303
```

=====

Entry 2:
Computed XRD peak list of Pr8PtAu2 for Cu Kα X-rays, from a crystal structure in Alexandria, relaxed with GGA-PBE.
Intensities are scaled so that the largest is 100.

Principal peaks in the range 10 to 90 degrees two-theta, in order of falling intensity:
- 2θ 34.43, rel. 100.0, hkl 0 2 0
- 2θ 30.45, rel. 99.7, hkl 1 1 -2
- 2θ 30.02, rel. 74.5, hkl 5 1 0
- 2θ 31.91, rel. 67.5, hkl 1 1 2
- 2θ 30.90, rel. 58.1, hkl 5 1 -1
- 2θ 34.35, rel. 53.3, hkl 6 0 1
- 2θ 36.71, rel. 45.5, hkl 5 1 -2
- 2θ 60.57, rel. 34.7, hkl 7 1 3
- 2θ 38.92, rel. 32.3, hkl 7 1 -1
- 2θ 32.19, rel. 30.5, hkl 3 1 -2

Cell and atoms:
```
data_Pr8PtAu2
_chemical_formula_sum 'Pr16 Pt2 Au4'
_symmetry_space_group_name_H-M 'C 1 2/m 1'
_symmetry_Int_Tables_number 12
_cell_length_a 18.4267
_cell_length_b 5.2097
_cell_length_c 7.1067
_cell_angle_alpha 90.00
_cell_angle_beta 100.14
_cell_angle_gamma 90.00
loop_
_symmetry_equiv_pos_as_xyz
'x,y,z'
'-x,-y,-z'
'-x,y,-z'
'x,-y,z'
'x+1/2,y+1/2,z'
'-x+1/2,-y+1/2,-z'
'-x+1/2,y+1/2,-z'
'x+1/2,-y+1/2,z'
loop_
_atom_site_label
_atom_site_type_symbol
_atom_site_fract_x
_atom_site_fract_y
_atom_site_fract_z
Pr1 Pr 0.0265 0.0000 0.2774
Pr2 Pr 0.0882 0.5000 0.9461
Pr3 Pr 0.1610 0.5000 0.4730
Pr4 Pr 0.2027 0.0000 0.8340
Pt1 Pt 0.0000 0.5000 0.5000
Au1 Au 0.1908 0.0000 0.2471
```

=====

Entry 3:
Computed XRD peak list of Pr2PtAu3 for Cu Kα X-rays, from a crystal structure in Alexandria, relaxed with GGA-PBE.
Intensities are scaled so that the largest is 100.

Principal peaks in the range 10 to 90 degrees two-theta, in order of falling intensity:
- 2θ 32.38, rel. 100.0, hkl 1 1 1
- 2θ 38.73, rel. 80.8, hkl 0 1 3
- 2θ 33.10, rel. 57.5, hkl 1 0 2
- 2θ 36.83, rel. 48.0, hkl 0 2 0
- 2θ 64.32, rel. 36.9, hkl 2 1 3
- 2θ 50.34, rel. 35.7, hkl 1 2 2
- 2θ 24.04, rel. 30.8, hkl 1 0 0
- 2θ 46.10, rel. 24.1, hkl 1 1 3
- 2θ 88.05, rel. 21.3, hkl 2 3 3
- 2θ 49.22, rel. 21.2, hkl 2 0 0

Cell and atoms:
```
data_Pr2PtAu3
_chemical_formula_sum 'Pr2 Pt1 Au3'
_symmetry_space_group_name_H-M 'P m m 2'
_symmetry_Int_Tables_number 25
_cell_length_a 3.7022
_cell_length_b 4.8812
_cell_length_c 7.9337
_cell_angle_alpha 90.00
_cell_angle_beta 90.00
_cell_angle_gamma 90.00
loop_
_symmetry_equiv_pos_as_xyz
'x,y,z'
'-x,-y,z'
'-x,y,z'
'x,-y,z'
loop_
_atom_site_label
_atom_site_type_symbol
_atom_site_fract_x
_atom_site_fract_y
_atom_site_fract_z
Pr1 Pr 0.0000 0.0000 0.0000
Pr2 Pr 0.0000 0.5000 0.4677
Pt1 Pt 0.5000 0.0000 0.3045
Au1 Au 0.5000 0.0000 0.6490
Au2 Au 0.5000 0.5000 0.1492
Au3 Au 0.5000 0.5000 0.8042
```